# 1
Starting from DFT lattice parameters and positions (GGA-PBE), the powder diffraction line list of Sc5Al was computed for Cu Kα.
No peak broadening, texture or thermal motion is included.

Main lines, in order of falling intensity (10° ≤ 2θ ≤ 80°):
hkl	Position (°2θ)	I (rel.)
3 1 0	36.6	100.0
1 1 -2	36.7	97.2
0 0 3	37.2	75.2
4 0 -2	35.1	66.5
1 1 1	32.0	38.0
2 0 2	32.6	30.6
5 1 -4	64.0	29.1
3 1 3	57.8	27.5

Crystal structure
Cell lengths 11.610, 3.244, 7.492 Å; angles 90.00, 104.66, 90.00 degrees
Space group Cm (No. 8)
Inequivalent atoms, fractional coordinates:
Sc 0.000 0.000 0.000 x2
Sc 0.036 0.000 0.615 x2
Sc 0.170 0.500 0.354 x2
Sc 0.224 0.500 0.929 x2
Sc 0.389 0.000 0.278 x2
Al 0.327 0.000 0.666 x2

=====

# 2
Starting from DFT lattice parameters and positions (GGA-PBE), the powder diffraction line list of Sc5Al was computed for Cu Kα.
No peak broadening, texture or thermal motion is included.

Main lines, in order of falling intensity (10° ≤ 2θ ≤ 80°):
hkl	Position (°2θ)	I (rel.)
1 0 3	34.5	100.0
1 1 0	39.3	37.2
2 1 3	68.1	24.0
1 1 6	58.6	14.0
2 0 0	56.7	10.9
0 0 6	41.6	10.5
2 0 6	72.8	6.9
1 0 2	30.8	6.2

Crystal structure
Cell lengths 3.245, 3.245, 13.016 Å; angles 90.00, 90.00, 90.00 degrees
Space group P4/mmm (No. 123)
Inequivalent atoms, fractional coordinates:
Sc 0.000 0.000 0.000 x1
Sc 0.000 0.000 0.356 x2
Sc 0.500 0.500 0.177 x2
Al 0.500 0.500 0.500 x1

=====

# 3
Starting from DFT lattice parameters and positions (GGA-PBE), the powder diffraction line list of ScAl was computed for Cu Kα.
No peak broadening, texture or thermal motion is included.

Main lines, in order of falling intensity (10° ≤ 2θ ≤ 80°):
hkl	Position (°2θ)	I (rel.)
2 0 1	41.0	100.0
1 0 1	25.9	49.7
1 1 0	31.3	43.6
0 0 2	37.5	34.7
1 1 1	36.6	24.9
2 2 2	77.8	21.4
1 1 2	49.7	20.9
2 0 3	70.1	18.7

Crystal structure
Cell lengths 5.7154, 5.7154, 4.7925 Å; angles 90.00, 90.00, 120.00 degrees
Space group P6/mmm (No. 191)
Inequivalent atoms, fractional coordinates:
Sc 0.0000 0.0000 0.0000 x1
Sc 0.3333 0.6667 0.5000 x2
Al 0.0000 0.5000 0.0000 x3

=====

# 4
Starting from DFT lattice parameters and positions (GGA-PBE), the powder diffraction line list of ScAl11 was computed for Cu Kα.
No peak broadening, texture or thermal motion is included.

Main lines, in order of falling intensity (10° ≤ 2θ ≤ 80°):
hkl	Position (°2θ)	I (rel.)
3 1 2	36.1	100.0
4 2 0	36.8	67.8
5 0 1	43.3	66.3
3 2 1	32.1	36.3
1 0 3	38.6	32.3
4 2 2	44.9	31.6
5 5 2	65.8	29.6
2 1 3	42.1	21.5

Crystal structure
Cell lengths 10.932, 10.932, 7.169 Å; angles 90.00, 90.00, 90.00 degrees
Space group I4_1/amd (No. 141, origin choice 2)
Inequivalent atoms, fractional coordinates:
Sc 0.000 0.250 0.375 x4
Al 0.000 0.000 0.000 x8
Al 0.000 0.250 0.875 x4
Al 0.121 0.045 0.676 x32

=====

# 5
Starting from DFT lattice parameters and positions (GGA-PBE), the powder diffraction line list of Sc2Al was computed for Cu Kα.
No peak broadening, texture or thermal motion is included.

Main lines, in order of falling intensity (10° ≤ 2θ ≤ 80°):
hkl	Position (°2θ)	I (rel.)
1 0 2	36.1	100.0
1 1 0	36.7	99.4
2 0 2	52.5	31.2
2 1 2	65.7	29.9
1 1 4	72.7	22.9
3 0 0	66.1	15.4
1 0 1	25.5	9.5
2 2 0	78.1	9.2

Crystal structure
Cell lengths 4.8942, 4.8942, 6.1445 Å; angles 90.00, 90.00, 120.00 degrees
Space group P6_3/mmc (No. 194)
Inequivalent atoms, fractional coordinates:
Sc 0.0000 0.0000 0.0000 x2
Sc 0.3333 0.6667 0.2500 x2
Al 0.3333 0.6667 0.7500 x2

=====

# 6
Starting from DFT lattice parameters and positions (GGA-PBE), the powder diffraction line list of Sc4Al3 was computed for Cu Kα.
No peak broadening, texture or thermal motion is included.

Main lines, in order of falling intensity (10° ≤ 2θ ≤ 80°):
hkl	Position (°2θ)	I (rel.)
1 1 0	37.9	100.0
0 1 8	38.2	90.4
1 0 4	26.6	36.7
2 0 8	54.9	29.0
1 2 8	68.7	28.3
3 0 0	68.5	15.5
1 0 16	69.1	10.7
1 0 7	34.9	10.1

Crystal structure
Cell lengths 4.7444, 4.7444, 23.0438 Å; angles 90.00, 90.00, 120.00 degrees
Space group R-3m (No. 166, hexagonal axes)
Inequivalent atoms, fractional coordinates:
Sc 0.0000 0.0000 0.1171 x6
Sc 0.0000 0.0000 0.3701 x6
Al 0.0000 0.0000 0.2464 x6
Al 0.0000 0.0000 0.5000 x3

=====

# 7
Starting from DFT lattice parameters and positions (GGA-PBE), the powder diffraction line list of ScAl2Se4 was computed for Cu Kα.
No peak broadening, texture or thermal motion is included.

Main lines, in order of falling intensity (10° ≤ 2θ ≤ 80°):
hkl	Position (°2θ)	I (rel.)
2 1 1	29.5	100.0
3 3 0	50.4	31.8
3 1 2	47.0	31.0
0 0 2	27.9	24.4
1 4 1	51.0	23.0
2 0 2	36.6	14.8
1 1 0	16.3	14.2
2 2 0	32.9	10.9

Crystal structure
Cell lengths 7.689, 7.689, 6.385 Å; angles 90.00, 90.00, 90.00 degrees
Space group I4/m (No. 87)
Inequivalent atoms, fractional coordinates:
Sc 0.000 0.000 0.000 x2
Al 0.000 0.500 0.250 x4
Se 0.161 0.676 0.000 x8

=====

# 8
Starting from DFT lattice parameters and positions (GGA-PBE), the powder diffraction line list of Sm3ScAl was computed for Cu Kα.
No peak broadening, texture or thermal motion is included.

Main lines, in order of falling intensity (10° ≤ 2θ ≤ 80°):
hkl	Position (°2θ)	I (rel.)
1 2 1	33.9	100.0
1 0 3	33.7	78.9
0 2 2	32.4	63.2
1 0 1	20.9	41.1
2 2 2	50.8	35.4
2 0 0	38.1	31.2
1 1 0	23.0	28.6
1 2 5	58.5	23.0

Crystal structure
Cell lengths 4.728, 6.757, 9.633 Å; angles 90.00, 90.00, 90.00 degrees
Space group Pmmn (No. 59, origin choice 2)
Inequivalent atoms, fractional coordinates:
Sm 0.250 0.008 0.238 x4
Sm 0.250 0.250 0.569 x2
Sc 0.250 0.250 0.933 x2
Al 0.250 0.750 0.630 x2